1.
# Pr3SbO7
Calculated X-ray diffraction stick pattern, Cu Ka. Input: a structure optimized by DFT (PBE).
Kinematic intensities with the Lorentz-polarization factor, no thermal factor.

Top 10 peaks for 15° ≤ 2θ ≤ 90°, sorted by position:
2theta  I/Imax  index
28.0  100.0  2 0 2
28.3  92.4  2 2 0
32.4  22.0  4 0 0
32.8  44.1  0 2 2
46.7  69.0  0 0 4
55.1  10.1  6 0 2
55.3  10.4  6 2 0
55.5  27.7  2 2 4
56.0  20.5  2 4 2
86.8  11.6  4 2 6

Cell and atoms:
a b c (Å): 11.068 7.672 7.777
angles (deg): 90.00 90.00 90.00
Space group Cmcm (No. 63)
Symmetry-distinct sites (fractional):
Pr 0.000 0.000 0.000 (multiplicity 4)
Pr 0.227 0.292 0.250 (multiplicity 8)
Sb 0.000 0.500 0.000 (multiplicity 4)
O 0.000 0.421 0.250 (multiplicity 4)
O 0.126 0.314 0.533 (multiplicity 16)
O 0.132 0.020 0.250 (multiplicity 8)



2.
# BaCu2S2
Calculated X-ray diffraction stick pattern, Cu Ka. Input: a structure optimized by DFT (PBE).
Kinematic intensities with the Lorentz-polarization factor, no thermal factor.

Top 10 peaks for 15° ≤ 2θ ≤ 90°, sorted by position:
2theta  I/Imax  index
23.8  31.3  1 0 1
28.3  29.1  0 0 4
31.2  76.1  1 0 3
35.4  100.0  1 1 2
42.6  20.4  1 0 5
46.3  38.0  2 0 0
54.8  37.5  1 1 6
55.2  18.0  2 0 4
56.9  25.6  2 1 3
78.7  18.2  3 1 2

Cell and atoms:
a b c (Å): 3.919 3.919 12.631
angles (deg): 90.00 90.00 90.00
Space group I4/mmm (No. 139)
Symmetry-distinct sites (fractional):
Ba 0.000 0.000 0.000 (multiplicity 2)
Cu 0.000 0.500 0.250 (multiplicity 4)
S 0.000 0.000 0.360 (multiplicity 4)